Starting from a crystal structure in Alexandria, relaxed with GGA-PBE, the powder X-ray diffraction pattern of K2CaVMo was simulated for CuKα.
Neutral-atom scattering factors, no anomalous dispersion.

Structural model:
```
data_K2CaVMo
_space_group_name_H-M_alt 'P 4/m m m'
_space_group_IT_number 123
_space_group_name_Hall '-P 4 2'
_cell_length_a 6.2708
_cell_length_b 6.2708
_cell_length_c 6.0156
_cell_angle_alpha 90.00
_cell_angle_beta 90.00
_cell_angle_gamma 90.00
loop_
_atom_site_label
_atom_site_type_symbol
_atom_site_fract_x
_atom_site_fract_y
_atom_site_fract_z
K1 K 0.0000 0.5000 0.0000
Ca1 Ca 0.0000 0.0000 0.5000
V1 V 0.0000 0.0000 0.0000
Mo1 Mo 0.5000 0.5000 0.5000
```

Largest 8 diffraction maxima, by intensity, 10° ≤ 2θ ≤ 90°:
hkl 1 1 1, 2θ 24.9, I = 100
hkl 2 0 0, 2θ 28.5, I = 89
hkl 1 0 1, 2θ 20.5, I = 61
hkl 2 0 2, 2θ 41.6, I = 59
hkl 0 0 2, 2θ 29.7, I = 40
hkl 1 1 0, 2θ 20.0, I = 34
hkl 2 2 0, 2θ 40.7, I = 32
hkl 2 2 2, 2θ 51.2, I = 31